Diffraction record for Zn6CrO6. The PXRD pattern is simulated, not measured: it uses a structure optimized by DFT (PBE+U) and Cu Kα.
No peak broadening, texture or thermal motion is included.

Crystal structure
```
data_Zn6CrO6
_chemical_formula_sum 'Zn6 Cr1 O6'
_cell_length_a 5.7233
_cell_length_b 5.7233
_cell_length_c 5.7233
_cell_angle_alpha 90.00
_cell_angle_beta 90.00
_cell_angle_gamma 90.00
_symmetry_space_group_name_H-M 'P m -3'
_symmetry_Int_Tables_number 200
_symmetry_space_group_name_Hall '-P 2 2 3'
loop_
_atom_site_label
_atom_site_fract_x
_atom_site_fract_y
_atom_site_fract_z
Zn1 0.0000 0.2510 0.5000
Cr1 0.0000 0.0000 0.0000
O1 0.0000 0.5000 0.2501
```

Peak list (12 most intense, 2θ from 15° to 90°, by angle)
2θ = 15.48°, rel. 11.1; 2θ = 21.96°, rel. 50.1; 2θ = 31.26°, rel. 35.9; 2θ = 35.06°, rel. 100.0; 2θ = 38.53°, rel. 79.0; 2θ = 50.42°, rel. 9.8; 2θ = 55.63°, rel. 35.1; 2θ = 58.11°, rel. 24.1; 2θ = 60.53°, rel. 36.8; 2θ = 65.20°, rel. 23.1; 2θ = 74.08°, rel. 9.4; 2θ = 76.23°, rel. 21.3